(1)
Starting from a cell relaxed with GGA+U, the powder diffractogram of V2Bi4O11 was simulated for Cu Kα X-rays.
Neutral-atom scattering factors, no anomalous dispersion.

Atomic structure:
```
V2Bi4O11
1.0
2.802 -7.745 0.000
2.802 7.745 0.000
-0.049 0.000 5.580
V Bi O
2 4 11
Direct
0.000 0.000 0.000
0.535 0.535 0.525
0.273 0.942 0.445
0.367 0.711 0.965
0.711 0.367 0.965
0.942 0.273 0.445
0.043 0.244 0.026
0.063 0.564 0.708
0.067 0.579 0.209
0.244 0.043 0.026
0.270 0.270 0.671
0.399 0.602 0.386
0.564 0.063 0.708
0.579 0.067 0.209
0.602 0.399 0.386
0.759 0.759 0.772
0.855 0.855 0.266
```

Largest 10 diffraction maxima, in order of falling intensity, 2θ from 10° to 90°:
2θ 28.51, I 100; 2θ 28.35, I 85; 2θ 11.42, I 48; 2θ 32.08, I 31; 2θ 58.49, I 28; 2θ 34.75, I 26; 2θ 31.94, I 26; 2θ 48.01, I 23; 2θ 47.91, I 20; 2θ 23.12, I 17

=====

(2)
Starting from a cell relaxed with GGA+U, the powder diffractogram of V2Bi4O11 was simulated for Cu Kα X-rays.
Neutral-atom scattering factors, no anomalous dispersion.

Atomic structure:
```
V2Bi4O11
1.0
7.741 -2.807 0.000
7.741 2.807 0.000
-0.143 0.000 11.153
V Bi O
4 8 22
Direct
0.000 0.000 0.000
0.515 0.466 0.774
0.534 0.485 0.226
0.955 0.045 0.500
0.194 0.131 0.255
0.207 0.149 0.749
0.288 0.377 0.013
0.312 0.357 0.499
0.623 0.712 0.987
0.643 0.688 0.501
0.851 0.793 0.251
0.869 0.806 0.745
0.003 0.477 0.374
0.016 0.490 0.623
0.017 0.794 0.463
0.024 0.495 0.870
0.183 0.031 0.951
0.206 0.983 0.537
0.290 0.641 0.888
0.301 0.541 0.672
0.359 0.710 0.112
0.370 0.434 0.250
0.459 0.699 0.328
0.505 0.976 0.130
0.510 0.984 0.377
0.521 0.001 0.871
0.523 0.997 0.626
0.566 0.630 0.750
0.770 0.175 0.878
0.770 0.189 0.630
0.811 0.230 0.370
0.825 0.230 0.122
0.969 0.817 0.049
0.999 0.479 0.129
```

Largest 10 diffraction maxima, in order of falling intensity, 2θ from 10° to 90°:
2θ 28.30, I 100; 2θ 28.56, I 97; 2θ 11.43, I 48; 2θ 45.88, I 31; 2θ 32.10, I 31; 2θ 31.89, I 28; 2θ 54.78, I 27; 2θ 34.77, I 24; 2θ 47.89, I 22; 2θ 55.22, I 16

=====

(3)
Starting from a cell relaxed with GGA+U, the powder diffractogram of V6Bi4O19 was simulated for Cu Kα X-rays.
Neutral-atom scattering factors, no anomalous dispersion.

Atomic structure:
```
V6Bi4O19
1.0
7.782 0.000 0.000
-2.662 7.385 0.000
-2.567 -3.658 6.570
V Bi O
6 4 19
Direct
0.000 0.000 0.000
0.009 0.313 0.341
0.172 0.814 0.672
0.352 0.137 0.495
0.666 0.189 0.865
0.848 0.509 0.688
0.141 0.324 0.790
0.467 0.606 0.439
0.475 0.934 0.110
0.837 0.720 0.212
0.126 0.973 0.534
0.170 0.309 0.193
0.171 0.614 0.458
0.186 0.644 0.841
0.209 0.004 0.915
0.210 0.971 0.235
0.238 0.327 0.548
0.484 0.928 0.829
0.511 0.028 0.557
0.513 0.304 0.837
0.529 0.678 0.194
0.552 0.358 0.499
0.781 0.292 0.143
0.836 0.015 0.808
0.847 0.698 0.893
0.858 0.997 0.177
0.871 0.655 0.539
0.883 0.370 0.865
0.886 0.289 0.523
```

Largest 10 diffraction maxima, in order of falling intensity, 2θ from 10° to 90°:
2θ 24.00, I 100; 2θ 23.67, I 67; 2θ 24.14, I 61; 2θ 23.56, I 59; 2θ 42.41, I 50; 2θ 30.95, I 43; 2θ 31.33, I 40; 2θ 31.09, I 34; 2θ 42.19, I 25; 2θ 61.95, I 24

=====

(4)
Starting from a cell relaxed with GGA+U, the powder diffractogram of V2Bi4O11 was simulated for Cu Kα X-rays.
Neutral-atom scattering factors, no anomalous dispersion.

Atomic structure:
```
V2Bi4O11
1.0
5.709 0.000 0.000
0.464 5.701 0.000
0.495 2.415 7.893
V Bi O
2 4 11
Direct
0.232 0.251 0.029
0.768 0.749 0.971
0.245 0.966 0.660
0.267 0.581 0.345
0.733 0.419 0.655
0.755 0.034 0.340
0.000 0.500 0.000
0.010 0.263 0.485
0.112 0.987 0.155
0.348 0.223 0.837
0.440 0.309 0.150
0.492 0.753 0.491
0.508 0.247 0.509
0.560 0.691 0.850
0.652 0.777 0.163
0.888 0.013 0.845
0.990 0.737 0.515
```

Largest 10 diffraction maxima, in order of falling intensity, 2θ from 10° to 90°:
2θ 31.45, I 100; 2θ 11.21, I 100; 2θ 26.99, I 100; 2θ 27.33, I 97; 2θ 27.76, I 91; 2θ 29.52, I 76; 2θ 34.07, I 45; 2θ 43.06, I 30; 2θ 47.99, I 29; 2θ 46.11, I 25

=====

(5)
Starting from a cell relaxed with GGA+U, the powder diffractogram of V3BiO9 was simulated for Cu Kα X-rays.
Neutral-atom scattering factors, no anomalous dispersion.

Atomic structure:
```
V3BiO9
1.0
4.573 -6.009 0.000
4.573 6.009 0.000
0.000 0.000 7.686
V Bi O
6 2 18
Direct
0.153 0.795 0.529
0.205 0.847 0.971
0.247 0.247 0.500
0.753 0.753 0.000
0.795 0.153 0.471
0.847 0.205 0.029
0.374 0.374 0.000
0.626 0.626 0.500
0.017 0.240 0.569
0.065 0.319 0.964
0.139 0.861 0.750
0.240 0.017 0.431
0.306 0.672 0.510
0.319 0.065 0.036
0.328 0.694 0.990
0.330 0.373 0.319
0.373 0.330 0.681
0.627 0.670 0.181
0.670 0.627 0.819
0.672 0.306 0.490
0.681 0.935 0.536
0.694 0.328 0.010
0.760 0.983 0.931
0.861 0.139 0.250
0.935 0.681 0.464
0.983 0.760 0.069
```

Largest 10 diffraction maxima, in order of falling intensity, 2θ from 10° to 90°:
2θ 23.14, I 100; 2θ 27.11, I 84; 2θ 24.26, I 77; 2θ 14.74, I 70; 2θ 16.78, I 44; 2θ 12.16, I 44; 2θ 32.46, I 36; 2θ 33.77, I 34; 2θ 22.63, I 34; 2θ 43.18, I 33

=====

(6)
Starting from a cell relaxed with GGA+U, the powder diffractogram of V2Bi4O11 was simulated for Cu Kα X-rays.
Neutral-atom scattering factors, no anomalous dispersion.

Atomic structure:
```
V2Bi4O11
1.0
5.640 0.000 0.000
0.000 5.689 0.000
-0.808 0.000 15.827
V Bi O
4 8 22
Direct
0.000 0.228 0.000
0.000 0.772 0.500
0.463 0.230 0.478
0.463 0.770 0.978
0.000 0.305 0.319
0.000 0.695 0.819
0.463 0.305 0.159
0.463 0.695 0.659
0.510 0.208 0.819
0.510 0.792 0.319
0.954 0.209 0.659
0.954 0.791 0.159
0.126 0.442 0.064
0.126 0.558 0.564
0.231 0.001 0.489
0.231 0.999 0.989
0.232 0.046 0.239
0.232 0.457 0.739
0.232 0.543 0.239
0.232 0.954 0.739
0.338 0.445 0.415
0.338 0.555 0.915
0.585 0.341 0.573
0.585 0.659 0.073
0.674 0.119 0.414
0.674 0.881 0.914
0.732 0.472 0.739
0.732 0.528 0.239
0.733 0.018 0.239
0.733 0.982 0.739
0.789 0.117 0.063
0.789 0.883 0.563
0.878 0.340 0.905
0.878 0.660 0.405
```

Largest 10 diffraction maxima, in order of falling intensity, 2θ from 10° to 90°:
2θ 27.48, I 100; 2θ 28.48, I 92; 2θ 11.18, I 53; 2θ 31.78, I 27; 2θ 45.31, I 24; 2θ 23.12, I 23; 2θ 33.99, I 22; 2θ 45.91, I 22; 2θ 31.45, I 21; 2θ 46.98, I 20